(1)
# K3CuTe2
Computed X-ray powder pattern, copper Kα. Input: a GGA-PBE-relaxed structure.
Neutral-atom scattering factors, no anomalous dispersion.

Crystal structure
```
data_K3CuTe2
_symmetry_space_group_name_H-M 'I b a m'
_symmetry_Int_Tables_number 72
_symmetry_space_group_name_Hall '-I 2 2c'
_cell_length_a 7.8989
_cell_length_b 13.8676
_cell_length_c 9.3809
_cell_angle_alpha 90.00
_cell_angle_beta 90.00
_cell_angle_gamma 90.00
loop_
_atom_site_label
_atom_site_type_symbol
_atom_site_fract_x
_atom_site_fract_y
_atom_site_fract_z
_atom_site_occupancy
K1 K 0.0000 0.0000 0.2500 1
K2 K 0.0000 0.2820 0.2500 1
Cu1 Cu 0.0000 0.5000 0.0000 1
Te1 Te 0.2455 0.3864 0.0000 1
```

The 10 most intense peaks (2θ = 15–90°), by angle:
Position (°2θ)	I/Imax
18.92	16
19.49	100
22.93	22
29.39	14
29.57	27
32.10	17
33.42	26
34.42	32
37.79	18
52.50	19

---

(2)
# KCuTe2
Computed X-ray powder pattern, copper Kα. Input: a GGA-PBE-relaxed structure.
Neutral-atom scattering factors, no anomalous dispersion.

Crystal structure
```
data_KCuTe2
_symmetry_space_group_name_H-M 'P m m 2'
_symmetry_Int_Tables_number 25
_cell_length_a 3.3274
_cell_length_b 5.6223
_cell_length_c 6.2467
_cell_angle_alpha 90.00
_cell_angle_beta 90.00
_cell_angle_gamma 90.00
loop_
_symmetry_equiv_pos_as_xyz
'x,y,z'
'-x,-y,z'
'-x,y,z'
'x,-y,z'
loop_
_atom_site_label
_atom_site_type_symbol
_atom_site_fract_x
_atom_site_fract_y
_atom_site_fract_z
_atom_site_occupancy
K1 K 0.0000 0.0000 0.0000 1
Cu1 Cu 0.5000 0.5000 0.3771 1
Te1 Te 0.5000 0.0000 0.4914 1
Te2 Te 0.5000 0.5000 0.9629 1
```

The 10 most intense peaks (2θ = 15–90°), by angle:
Position (°2θ)	I/Imax
21.26	72
26.79	67
28.58	71
31.83	72
34.45	100
39.57	35
42.08	40
43.30	45
51.66	33
54.49	45

---

(3)
# KCuTe3
Computed X-ray powder pattern, copper Kα. Input: a GGA-PBE-relaxed structure.
Neutral-atom scattering factors, no anomalous dispersion.

Crystal structure
```
data_KCuTe3
_symmetry_space_group_name_H-M 'P -1'
_symmetry_Int_Tables_number 2
_cell_length_a 6.5549
_cell_length_b 6.9722
_cell_length_c 8.6712
_cell_angle_alpha 69.57
_cell_angle_beta 83.40
_cell_angle_gamma 70.04
loop_
_symmetry_equiv_pos_as_xyz
'x,y,z'
'-x,-y,-z'
loop_
_atom_site_label
_atom_site_type_symbol
_atom_site_fract_x
_atom_site_fract_y
_atom_site_fract_z
_atom_site_occupancy
K1 K 0.1720 0.2238 0.2549 1
Cu1 Cu 0.4309 0.2857 0.7166 1
Te1 Te 0.1814 0.0599 0.7769 1
Te2 Te 0.3172 0.7221 0.0727 1
Te3 Te 0.3947 0.6895 0.5765 1
```

The 10 most intense peaks (2θ = 15–90°), by angle:
Position (°2θ)	I/Imax
16.71	79
18.11	44
23.75	34
26.33	38
27.87	62
28.69	100
28.92	68
30.06	56
36.51	69
41.93	40

---

(4)
# KVCu2
Computed X-ray powder pattern, copper Kα. Input: a GGA-PBE-relaxed structure.
Neutral-atom scattering factors, no anomalous dispersion.

Crystal structure
```
data_KVCu2
_symmetry_space_group_name_H-M 'F m -3 m'
_symmetry_Int_Tables_number 225
_symmetry_space_group_name_Hall '-F 4 2 3'
_cell_length_a 6.8253
_cell_length_b 6.8253
_cell_length_c 6.8253
_cell_angle_alpha 90.00
_cell_angle_beta 90.00
_cell_angle_gamma 90.00
loop_
_atom_site_label
_atom_site_type_symbol
_atom_site_fract_x
_atom_site_fract_y
_atom_site_fract_z
_atom_site_occupancy
K1 K 0.0000 0.0000 0.0000 1
V1 V 0.0000 0.0000 0.5000 1
Cu1 Cu 0.2500 0.2500 0.2500 1
```

The 8 most intense peaks (2θ = 15–90°), by angle:
Position (°2θ)	I/Imax
26.11	5
37.26	100
46.07	2
53.72	16
60.68	2
67.19	30
79.43	9
85.33	1

---

(5)
# KCuW
Computed X-ray powder pattern, copper Kα. Input: a GGA-PBE-relaxed structure.
Neutral-atom scattering factors, no anomalous dispersion.

Crystal structure
```
data_KCuW
_symmetry_space_group_name_H-M 'P n m a'
_symmetry_Int_Tables_number 62
_cell_length_a 9.0240
_cell_length_b 3.1618
_cell_length_c 10.5818
_cell_angle_alpha 90.00
_cell_angle_beta 90.00
_cell_angle_gamma 90.00
loop_
_symmetry_equiv_pos_as_xyz
'x,y,z'
'-x,-y,-z'
'-x+1/2,-y,z+1/2'
'x+1/2,y,-z+1/2'
'x+1/2,-y+1/2,-z+1/2'
'-x+1/2,y+1/2,z+1/2'
'-x,y+1/2,-z'
'x,-y+1/2,z'
loop_
_atom_site_label
_atom_site_type_symbol
_atom_site_fract_x
_atom_site_fract_y
_atom_site_fract_z
_atom_site_occupancy
K1 K 0.0625 0.2500 0.1668 1
Cu1 Cu 0.2309 0.7500 0.3950 1
W1 W 0.0879 0.2500 0.5427 1
```

The 10 most intense peaks (2θ = 15–90°), by angle:
Position (°2θ)	I/Imax
16.76	100
27.14	57
34.29	54
34.51	43
34.64	45
38.23	43
38.72	32
39.54	32
42.34	73
49.64	25

---

(6)
# KCu2W
Computed X-ray powder pattern, copper Kα. Input: a GGA-PBE-relaxed structure.
Neutral-atom scattering factors, no anomalous dispersion.

Crystal structure
```
data_KCu2W
_symmetry_space_group_name_H-M 'P 4/m m m'
_symmetry_Int_Tables_number 123
_symmetry_space_group_name_Hall '-P 4 2'
_cell_length_a 2.8959
_cell_length_b 2.8959
_cell_length_c 8.6814
_cell_angle_alpha 90.00
_cell_angle_beta 90.00
_cell_angle_gamma 90.00
loop_
_atom_site_label
_atom_site_type_symbol
_atom_site_fract_x
_atom_site_fract_y
_atom_site_fract_z
_atom_site_occupancy
K1 K 0.0000 0.0000 0.0000 1
Cu1 Cu 0.5000 0.5000 0.3063 1
W1 W 0.0000 0.0000 0.5000 1
```

The 10 most intense peaks (2θ = 15–90°), by angle:
Position (°2θ)	I/Imax
20.46	15
37.33	100
44.24	77
45.51	19
52.71	20
62.34	12
64.35	16
76.81	23
81.42	21
87.77	13

---

(7)
# KZn2Cu2
Computed X-ray powder pattern, copper Kα. Input: a GGA-PBE-relaxed structure.
Neutral-atom scattering factors, no anomalous dispersion.

Crystal structure
```
data_KZn2Cu2
_symmetry_space_group_name_H-M 'P 4/m b m'
_symmetry_Int_Tables_number 127
_symmetry_space_group_name_Hall '-P 4 2ab'
_cell_length_a 8.0033
_cell_length_b 8.0033
_cell_length_c 2.6747
_cell_angle_alpha 90.00
_cell_angle_beta 90.00
_cell_angle_gamma 90.00
loop_
_atom_site_label
_atom_site_type_symbol
_atom_site_fract_x
_atom_site_fract_y
_atom_site_fract_z
_atom_site_occupancy
K1 K 0.0000 0.0000 0.0000 1
Zn1 Zn 0.1228 0.3772 0.5000 1
Cu1 Cu 0.1666 0.6666 0.0000 1
```

The 10 most intense peaks (2θ = 15–90°), by angle:
Position (°2θ)	I/Imax
15.66	31
35.47	64
40.64	16
42.18	100
45.32	15
46.78	15
48.24	11
53.66	13
72.80	17
78.29	11

---

(8)
# K2ZnCu2
Computed X-ray powder pattern, copper Kα. Input: a GGA-PBE-relaxed structure.
Neutral-atom scattering factors, no anomalous dispersion.

Crystal structure
```
data_K2ZnCu2
_symmetry_space_group_name_H-M 'P 4/m b m'
_symmetry_Int_Tables_number 127
_symmetry_space_group_name_Hall '-P 4 2ab'
_cell_length_a 6.8208
_cell_length_b 6.8208
_cell_length_c 5.3646
_cell_angle_alpha 90.00
_cell_angle_beta 90.00
_cell_angle_gamma 90.00
loop_
_atom_site_label
_atom_site_type_symbol
_atom_site_fract_x
_atom_site_fract_y
_atom_site_fract_z
_atom_site_occupancy
K1 K 0.1809 0.3191 0.0000 1
Zn1 Zn 0.0000 0.0000 0.5000 1
Cu1 Cu 0.1293 0.6293 0.5000 1
```

The 10 most intense peaks (2θ = 15–90°), by angle:
Position (°2θ)	I/Imax
16.52	46
31.07	35
33.41	45
33.80	100
37.29	9
41.88	34
45.32	22
54.60	30
59.96	17
72.88	9

---

(9)
# La2Cu7
Computed X-ray powder pattern, copper Kα. Input: a GGA-PBE-relaxed structure.
Neutral-atom scattering factors, no anomalous dispersion.

Crystal structure
```
data_La2Cu7
_symmetry_space_group_name_H-M 'R -3 m'
_symmetry_Int_Tables_number 166
_symmetry_space_group_name_Hall '-R 3 2"'
_cell_length_a 5.2722
_cell_length_b 5.2722
_cell_length_c 37.8109
_cell_angle_alpha 90.00
_cell_angle_beta 90.00
_cell_angle_gamma 120.00
loop_
_atom_site_label
_atom_site_type_symbol
_atom_site_fract_x
_atom_site_fract_y
_atom_site_fract_z
_atom_site_occupancy
La1 La 0.0000 0.0000 0.0512 1
La2 La 0.0000 0.0000 0.1504 1
Cu1 Cu 0.0000 0.0000 0.2789 1
Cu2 Cu 0.0000 0.0000 0.3868 1
Cu3 Cu 0.0000 0.0000 0.5000 1
Cu4 Cu 0.0000 0.5000 0.0000 1
Cu5 Cu 0.0038 0.5019 0.1077 1
```

The 10 most intense peaks (2θ = 15–90°), by angle:
Position (°2θ)	I/Imax
30.70	33
32.61	21
34.01	39
39.55	31
40.39	100
43.05	23
63.95	13
65.20	23
71.59	20
87.34	13

---

(10)
# La3Cu2
Computed X-ray powder pattern, copper Kα. Input: a GGA-PBE-relaxed structure.
Neutral-atom scattering factors, no anomalous dispersion.

Crystal structure
```
data_La3Cu2
_symmetry_space_group_name_H-M 'R -3 c'
_symmetry_Int_Tables_number 167
_symmetry_space_group_name_Hall '-R 3 2"c'
_cell_length_a 8.1730
_cell_length_b 8.1730
_cell_length_c 13.9894
_cell_angle_alpha 90.00
_cell_angle_beta 90.00
_cell_angle_gamma 120.00
loop_
_atom_site_label
_atom_site_type_symbol
_atom_site_fract_x
_atom_site_fract_y
_atom_site_fract_z
_atom_site_occupancy
La1 La 0.0000 0.2914 0.2500 1
Cu1 Cu 0.0000 0.0000 0.0885 1
```

The 10 most intense peaks (2θ = 15–90°), by angle:
Position (°2θ)	I/Imax
28.26	13
29.05	100
34.12	15
36.11	9
38.14	48
38.62	21
48.65	14
55.40	31
63.44	9
64.10	10

---

(11)
# La5Cu4
Computed X-ray powder pattern, copper Kα. Input: a GGA-PBE-relaxed structure.
Neutral-atom scattering factors, no anomalous dispersion.

Crystal structure
```
data_La5Cu4
_symmetry_space_group_name_H-M 'P 63/m c m'
_symmetry_Int_Tables_number 193
_symmetry_space_group_name_Hall '-P 6c 2'
_cell_length_a 8.6650
_cell_length_b 8.6650
_cell_length_c 7.4085
_cell_angle_alpha 90.00
_cell_angle_beta 90.00
_cell_angle_gamma 120.00
loop_
_atom_site_label
_atom_site_type_symbol
_atom_site_fract_x
_atom_site_fract_y
_atom_site_fract_z
_atom_site_occupancy
La1 La 0.0000 0.2656 0.2500 1
La2 La 0.3333 0.6667 0.0000 1
Cu1 Cu 0.0000 0.0000 0.0000 1
Cu2 Cu 0.0000 0.3930 0.7500 1
```

The 10 most intense peaks (2θ = 15–90°), by angle:
Position (°2θ)	I/Imax
23.78	15
31.78	100
33.84	51
35.90	48
48.69	22
48.90	18
49.19	13
54.74	10
54.86	10
62.39	18

---

(12)
# La2Cu
Computed X-ray powder pattern, copper Kα. Input: a GGA-PBE-relaxed structure.
Neutral-atom scattering factors, no anomalous dispersion.

Crystal structure
```
data_La2Cu
_symmetry_space_group_name_H-M 'P -6 2 m'
_symmetry_Int_Tables_number 189
_symmetry_space_group_name_Hall 'P -6 -2'
_cell_length_a 7.7971
_cell_length_b 7.7971
_cell_length_c 4.8977
_cell_angle_alpha 90.00
_cell_angle_beta 90.00
_cell_angle_gamma 120.00
loop_
_atom_site_label
_atom_site_type_symbol
_atom_site_fract_x
_atom_site_fract_y
_atom_site_fract_z
_atom_site_occupancy
La1 La 0.0000 0.2766 0.0000 1
La2 La 0.0000 0.6060 0.5000 1
Cu1 Cu 0.0000 0.0000 0.5000 1
Cu2 Cu 0.3333 0.6667 0.0000 1
```

The 10 most intense peaks (2θ = 15–90°), by angle:
Position (°2θ)	I/Imax
29.28	100
32.20	43
35.16	25
36.70	25
39.83	10
40.06	29
51.73	17
55.45	22
61.59	12
62.93	19

---

(13)
# LaCu13
Computed X-ray powder pattern, copper Kα. Input: a GGA-PBE-relaxed structure.
Neutral-atom scattering factors, no anomalous dispersion.

Crystal structure
```
data_LaCu13
_symmetry_space_group_name_H-M 'F m -3 c'
_symmetry_Int_Tables_number 226
_symmetry_space_group_name_Hall '-F 4a 2 3'
_cell_length_a 11.6087
_cell_length_b 11.6087
_cell_length_c 11.6087
_cell_angle_alpha 90.00
_cell_angle_beta 90.00
_cell_angle_gamma 90.00
loop_
_atom_site_label
_atom_site_type_symbol
_atom_site_fract_x
_atom_site_fract_y
_atom_site_fract_z
_atom_site_occupancy
La1 La 0.2500 0.2500 0.2500 1
Cu1 Cu 0.0000 0.0000 0.0000 1
Cu2 Cu 0.0000 0.1166 0.1800 1
```

The 10 most intense peaks (2θ = 15–90°), by angle:
Position (°2θ)	I/Imax
34.55	39
37.97	78
46.27	100
46.96	18
49.67	18
57.22	12
59.60	15
66.41	13
81.18	13
85.26	12